Record 1
For Al19Co6, DFT lattice parameters and positions (GGA-PBE) gives the calculated XRD peak list in this record (Cu Kα (weighted mean of Kα1 and Kα2)).
Kinematic intensities with the Lorentz-polarization factor, no thermal factor.

Atomic structure:
Cell lengths 15.1515, 8.1208, 12.4494 Å; angles 90.00, 108.53, 90.00 degrees
Space group C2/m (No. 12)
Inequivalent atoms, fractional coordinates:
Al (0.0000, 0.2494, 0.0000) (multiplicity 4)
Al (0.0075, 0.2802, 0.6690) (multiplicity 8)
Al (0.0269, 0.5000, 0.1685) (multiplicity 4)
Al (0.0670, 0.0000, 0.1735) (multiplicity 4)
Al (0.0783, 0.0000, 0.5793) (multiplicity 4)
Al (0.0891, 0.0000, 0.7844) (multiplicity 4)
Al (0.1283, 0.3056, 0.5236) (multiplicity 8)
Al (0.1288, 0.2848, 0.8900) (multiplicity 8)
Al (0.1780, 0.2233, 0.3355) (multiplicity 8)
Al (0.1794, 0.5000, 0.7278) (multiplicity 4)
Al (0.1851, 0.2226, 0.1142) (multiplicity 8)
Al (0.2116, 0.5000, 0.2373) (multiplicity 4)
Al (0.2336, 0.0000, 0.5181) (multiplicity 4)
Al (0.2436, 0.0000, 0.9762) (multiplicity 4)
Co (0.0803, 0.0000, 0.3796) (multiplicity 4)
Co (0.0910, 0.0000, 0.9838) (multiplicity 4)
Co (0.1002, 0.5000, 0.0165) (multiplicity 4)
Co (0.1090, 0.5000, 0.3683) (multiplicity 4)
Co (0.1744, 0.2237, 0.7197) (multiplicity 8)

Largest 8 diffraction maxima, by intensity, 2θ from 15° to 90°:
2θ/deg  Rel. int.  hkl
44.63  1000  0 4 0
43.90  658  6 2 0
45.14  535  6 0 2
43.61  495  6 2 -3
44.39  478  0 2 5
25.16  374  2 2 -1
22.60  334  0 0 3
44.02  242  2 0 5

=====

Record 2
For Er2Tm8Th3, DFT lattice parameters and positions (GGA-PBE) gives the calculated XRD peak list in this record (Cu Kα (weighted mean of Kα1 and Kα2)).
Kinematic intensities with the Lorentz-polarization factor, no thermal factor.

Atomic structure:
Cell lengths 22.5928, 6.7332, 5.5629 Å; angles 90.00, 104.20, 90.00 degrees
Space group C2/m (No. 12)
Inequivalent atoms, fractional coordinates:
Er (0.2232, 0.0000, 0.2234) (multiplicity 4)
Tm (0.0751, 0.0000, 0.0752) (multiplicity 4)
Tm (0.1516, 0.2380, 0.6519) (multiplicity 8)
Tm (0.1861, 0.5000, 0.1863) (multiplicity 4)
Th (0.0000, 0.2313, 0.5000) (multiplicity 4)
Th (0.0000, 0.5000, 0.0000) (multiplicity 2)

Largest 8 diffraction maxima, by intensity, 2θ from 15° to 90°:
2θ/deg  Rel. int.  hkl
31.32  1000  2 2 -1
32.19  1000  2 0 -2
32.84  480  6 0 1
37.37  271  4 2 1
24.38  196  6 0 0
56.84  189  4 2 -3
36.29  162  6 2 0
64.72  156  2 4 -2

=====

Record 3
For LiBPd2, DFT lattice parameters and positions (GGA-PBE) gives the calculated XRD peak list in this record (Cu Kα (weighted mean of Kα1 and Kα2)).
Kinematic intensities with the Lorentz-polarization factor, no thermal factor.

Atomic structure:
Cell lengths 5.8302, 5.5928, 6.0008 Å; angles 90.00, 90.00, 90.00 degrees
Space group Pnma (No. 62)
Inequivalent atoms, fractional coordinates:
Li (0.0127, 0.2500, 0.0080) (multiplicity 4)
B (0.1285, 0.2500, 0.6153) (multiplicity 4)
Pd (0.1562, 0.5051, 0.3306) (multiplicity 8)

Largest 8 diffraction maxima, by intensity, 2θ from 15° to 90°:
2θ/deg  Rel. int.  hkl
34.20  1000  2 0 1
47.54  871  2 2 1
32.01  854  0 2 0
33.59  786  1 0 2
47.08  692  1 2 2
21.25  399  1 0 1
29.78  297  0 0 2
76.34  295  3 2 3

=====

Record 4
For Ho2Al9Ir3, DFT lattice parameters and positions (GGA-PBE) gives the calculated XRD peak list in this record (Cu Kα (weighted mean of Kα1 and Kα2)).
Kinematic intensities with the Lorentz-polarization factor, no thermal factor.

Atomic structure:
Cell lengths 13.0331, 7.5959, 9.4620 Å; angles 90.00, 90.00, 90.00 degrees
Space group Cmcm (No. 63)
Inequivalent atoms, fractional coordinates:
Ho (0.1619, 0.1664, 0.2500) (multiplicity 8)
Al (0.0000, 0.1289, 0.7500) (multiplicity 4)
Al (0.0000, 0.3331, 0.0519) (multiplicity 8)
Al (0.1047, 0.4445, 0.7500) (multiplicity 8)
Al (0.1672, 0.1682, 0.5750) (multiplicity 16)
Ir (0.0000, 0.0000, 0.0000) (multiplicity 4)
Ir (0.1721, 0.5000, 0.0000) (multiplicity 8)

Largest 8 diffraction maxima, by intensity, 2θ from 15° to 90°:
2θ/deg  Rel. int.  hkl
30.31  1000  3 1 2
41.27  587  3 3 0
30.18  502  0 2 2
57.37  309  3 3 4
38.04  309  0 0 4
23.59  297  3 1 0
41.58  282  6 0 0
52.22  267  6 2 2

=====

Record 5
For Al2CrFe, DFT lattice parameters and positions (GGA-PBE) gives the calculated XRD peak list in this record (Cu Kα (weighted mean of Kα1 and Kα2)).
Kinematic intensities with the Lorentz-polarization factor, no thermal factor.

Atomic structure:
Cell lengths 2.6073, 2.6073, 7.5891 Å; angles 90.00, 90.00, 90.00 degrees
Space group P4/mmm (No. 123)
Inequivalent atoms, fractional coordinates:
Al (0.0000, 0.0000, 0.2415) (multiplicity 2)
Cr (0.5000, 0.5000, 0.5000) (multiplicity 1)
Fe (0.5000, 0.5000, 0.0000) (multiplicity 1)

Largest 8 diffraction maxima, by intensity, 2θ from 15° to 90°:
2θ/deg  Rel. int.  hkl
42.05  1000  1 0 2
49.44  303  1 1 0
87.53  210  2 1 2
71.33  184  1 1 4
47.95  164  0 0 4
23.44  156  0 0 2
34.40  113  1 0 0
85.29  108  1 0 6

=====

Record 6
For K2RbPuO5, DFT lattice parameters and positions (GGA-PBE) gives the calculated XRD peak list in this record (Cu Kα (weighted mean of Kα1 and Kα2)).
Kinematic intensities with the Lorentz-polarization factor, no thermal factor.

Atomic structure:
Cell lengths 4.3418, 6.4020, 12.3860 Å; angles 90.00, 90.00, 90.00 degrees
Space group Immm (No. 71)
Inequivalent atoms, fractional coordinates:
K (0.0000, 0.0000, 0.2248) (multiplicity 4)
Rb (0.0000, 0.5000, 0.0000) (multiplicity 2)
Pu (0.0000, 0.5000, 0.5000) (multiplicity 2)
O (0.0000, 0.0000, 0.0000) (multiplicity 2)
O (0.0000, 0.2862, 0.3871) (multiplicity 8)

Largest 8 diffraction maxima, by intensity, 2θ from 15° to 90°:
2θ/deg  Rel. int.  hkl
28.72  1000  1 1 2
15.58  510  0 1 1
40.53  279  0 2 4
24.78  266  1 1 0
27.87  234  0 2 0
49.84  208  1 3 2
28.83  191  0 0 4
21.69  189  1 0 1

=====

Record 7
For K4HgAs3, DFT lattice parameters and positions (GGA-PBE) gives the calculated XRD peak list in this record (Cu Kα (weighted mean of Kα1 and Kα2)).
Kinematic intensities with the Lorentz-polarization factor, no thermal factor.

Atomic structure:
Cell lengths 4.5400, 5.1797, 11.7927 Å; angles 90.00, 90.00, 90.00 degrees
Space group Pmm2 (No. 25)
Inequivalent atoms, fractional coordinates:
K (0.0000, 0.0000, 0.0000) (multiplicity 1)
K (0.0000, 0.5000, 0.4786) (multiplicity 1)
K (0.5000, 0.0000, 0.6990) (multiplicity 1)
K (0.5000, 0.5000, 0.2061) (multiplicity 1)
Hg (0.0000, 0.5000, 0.7910) (multiplicity 1)
As (0.0000, 0.0000, 0.2938) (multiplicity 1)
As (0.5000, 0.0000, 0.3989) (multiplicity 1)
As (0.5000, 0.5000, 0.9085) (multiplicity 1)

Largest 8 diffraction maxima, by intensity, 2θ from 15° to 90°:
2θ/deg  Rel. int.  hkl
18.71  1000  0 1 1
34.80  940  1 1 3
27.19  814  1 1 1
15.03  810  0 0 2
28.51  568  0 1 3
36.33  515  1 0 4
34.64  421  0 2 0
51.07  382  1 2 4

=====

Record 8
For K2HgP2S6, DFT lattice parameters and positions (GGA-PBE) gives the calculated XRD peak list in this record (Cu Kα (weighted mean of Kα1 and Kα2)).
Kinematic intensities with the Lorentz-polarization factor, no thermal factor.

Atomic structure:
Cell lengths 6.9474, 6.9474, 30.8055 Å; angles 90.00, 90.00, 120.00 degrees
Space group R-3m (No. 166, hexagonal axes)
Inequivalent atoms, fractional coordinates:
K (0.0000, 0.0000, 0.2180) (multiplicity 6)
Hg (0.0000, 0.0000, 0.0000) (multiplicity 3)
P (0.0000, 0.0000, 0.4380) (multiplicity 6)
S (0.0081, 0.5040, 0.2296) (multiplicity 18)

Largest 8 diffraction maxima, by intensity, 2θ from 15° to 90°:
2θ/deg  Rel. int.  hkl
15.81  1000  0 1 2
20.63  631  0 1 5
31.94  604  0 2 4
26.03  513  0 0 9
33.14  495  2 0 5
18.72  469  1 0 4
25.64  437  1 1 0
15.00  347  1 0 1

=====

Record 9
For Rb2YTiBr6, DFT lattice parameters and positions (GGA-PBE) gives the calculated XRD peak list in this record (Cu Kα (weighted mean of Kα1 and Kα2)).
Kinematic intensities with the Lorentz-polarization factor, no thermal factor.

Atomic structure:
Cell lengths 11.0645, 11.0645, 11.0645 Å; angles 90.00, 90.00, 90.00 degrees
Space group Fm-3m (No. 225)
Inequivalent atoms, fractional coordinates:
Rb (0.2500, 0.2500, 0.2500) (multiplicity 8)
Y (0.0000, 0.0000, 0.0000) (multiplicity 4)
Ti (0.0000, 0.0000, 0.5000) (multiplicity 4)
Br (0.0000, 0.0000, 0.2538) (multiplicity 24)

Largest 8 diffraction maxima, by intensity, 2θ from 15° to 90°:
2θ/deg  Rel. int.  hkl
32.37  1000  4 0 0
27.93  848  2 2 2
46.42  707  4 4 0
55.05  366  6 2 2
77.10  308  8 4 0
57.73  242  4 4 4
86.11  237  8 4 4
22.73  170  2 2 0

=====

Repeat the first record exactly.
For Al19Co6, DFT lattice parameters and positions (GGA-PBE) gives the calculated XRD peak list in this record (Cu Kα (weighted mean of Kα1 and Kα2)).
Kinematic intensities with the Lorentz-polarization factor, no thermal factor.

Atomic structure:
Cell lengths 15.1515, 8.1208, 12.4494 Å; angles 90.00, 108.53, 90.00 degrees
Space group C2/m (No. 12)
Inequivalent atoms, fractional coordinates:
Al (0.0000, 0.2494, 0.0000) (multiplicity 4)
Al (0.0075, 0.2802, 0.6690) (multiplicity 8)
Al (0.0269, 0.5000, 0.1685) (multiplicity 4)
Al (0.0670, 0.0000, 0.1735) (multiplicity 4)
Al (0.0783, 0.0000, 0.5793) (multiplicity 4)
Al (0.0891, 0.0000, 0.7844) (multiplicity 4)
Al (0.1283, 0.3056, 0.5236) (multiplicity 8)
Al (0.1288, 0.2848, 0.8900) (multiplicity 8)
Al (0.1780, 0.2233, 0.3355) (multiplicity 8)
Al (0.1794, 0.5000, 0.7278) (multiplicity 4)
Al (0.1851, 0.2226, 0.1142) (multiplicity 8)
Al (0.2116, 0.5000, 0.2373) (multiplicity 4)
Al (0.2336, 0.0000, 0.5181) (multiplicity 4)
Al (0.2436, 0.0000, 0.9762) (multiplicity 4)
Co (0.0803, 0.0000, 0.3796) (multiplicity 4)
Co (0.0910, 0.0000, 0.9838) (multiplicity 4)
Co (0.1002, 0.5000, 0.0165) (multiplicity 4)
Co (0.1090, 0.5000, 0.3683) (multiplicity 4)
Co (0.1744, 0.2237, 0.7197) (multiplicity 8)

Largest 8 diffraction maxima, by intensity, 2θ from 15° to 90°:
2θ/deg  Rel. int.  hkl
44.63  1000  0 4 0
43.90  658  6 2 0
45.14  535  6 0 2
43.61  495  6 2 -3
44.39  478  0 2 5
25.16  374  2 2 -1
22.60  334  0 0 3
44.02  242  2 0 5